# Sm3Al2Cd3
Theoretical powder diffraction line list, λ = 1.5418 Å (Cu Kα). Input: a DFT-relaxed cell (GGA-PBE, Alexandria).
No peak broadening, texture or thermal motion is included.

Structure:
```
data_Sm3Al2Cd3
_chemical_formula_sum 'Sm6 Al4 Cd6'
_space_group_name_H-M_alt 'P 1'
_space_group_IT_number 1
_cell_length_a 6.0464
_cell_length_b 6.0464
_cell_length_c 15.6003
_cell_angle_alpha 90.00
_cell_angle_beta 90.00
_cell_angle_gamma 134.47
loop_
_space_group_symop_operation_xyz
'x,y,z'
loop_
_atom_site_label
_atom_site_fract_x
_atom_site_fract_y
_atom_site_fract_z
Sm1 0.0886 0.9114 0.6085
Sm2 0.0886 0.9114 0.8915
Sm3 0.3648 0.6352 0.7500
Sm4 0.6352 0.3648 0.2500
Sm5 0.9114 0.0886 0.1085
Sm6 0.9114 0.0886 0.3915
Al1 0.2043 0.7957 0.1050
Al2 0.2043 0.7957 0.3950
Al3 0.7957 0.2043 0.6050
Al4 0.7957 0.2043 0.8950
Cd1 0.3471 0.6529 0.2500
Cd2 0.3792 0.6208 0.5361
Cd3 0.3792 0.6208 0.9639
Cd4 0.6208 0.3792 0.0361
Cd5 0.6208 0.3792 0.4639
Cd6 0.6529 0.3471 0.7500
```

Peak list (10 most intense, 2θ from 5° to 70°, in order of rising 2θ)
2theta, intensity
26.85, 17
30.72, 19
30.91, 100
31.26, 34
32.11, 33
32.88, 20
35.34, 33
38.48, 38
38.60, 32
51.00, 31